No. 1
This entry pairs a crystal structure of ZnInGaTe3S with its simulated PXRD pattern. Radiation: Cu Kα, 1.54184 Å. Structure: a cell relaxed with GGA-PBE.
Neutral-atom scattering factors, no anomalous dispersion.

Principal peaks in the range 2θ = 10–90°, in order of rising 2θ:
two_theta  I (rel.)
25.17  64
25.78  53
26.04  100
27.41  19
34.42  17
41.39  28
42.59  50
42.87  24
43.35  45
49.90  17

```
ZnInGaTe3S
1.0
6.0679 0.0000 0.0000
-0.2047 6.0684 0.0000
-3.0271 -2.9272 5.8467
Zn In Ga Te S
1 1 1 3 1
Direct
0.0000 0.0000 0.0000 Zn
0.4644 0.4673 0.9943 In
0.6988 0.2381 0.4739 Ga
0.0907 0.6216 0.7095 Te
0.5791 0.0624 0.7130 Te
0.8817 0.8773 0.2731 Te
0.3522 0.3423 0.2483 S
```

***

No. 2
This entry pairs a crystal structure of Tb2In5Ga with its simulated PXRD pattern. Radiation: Cu Kα, 1.54184 Å. Structure: a cell relaxed with GGA-PBE.
Neutral-atom scattering factors, no anomalous dispersion.

Principal peaks in the range 2θ = 10–90°, in order of rising 2θ:
two_theta  I (rel.)
31.44  29
34.93  38
35.51  59
36.09  100
47.70  18
55.16  20
63.01  11
63.39  19
66.97  28
68.43  16

```
Tb2In5Ga
1.0
5.1377 0.0000 0.0000
0.0000 6.5267 0.0000
0.0000 0.0000 11.6172
Tb In Ga
4 10 2
Direct
0.0000 0.0000 0.0000 Tb
0.0000 0.5000 0.5000 Tb
0.5000 0.0000 0.3439 Tb
0.5000 0.5000 0.8439 Tb
0.0000 0.0000 0.5133 In
0.0000 0.2390 0.7541 In
0.0000 0.2610 0.2541 In
0.0000 0.5000 0.0133 In
0.0000 0.7390 0.2541 In
0.0000 0.7610 0.7541 In
0.5000 0.2425 0.5976 In
0.5000 0.2575 0.0976 In
0.5000 0.7425 0.0976 In
0.5000 0.7575 0.5976 In
0.5000 0.0000 0.8332 Ga
0.5000 0.5000 0.3332 Ga
```

***

No. 3
This entry pairs a crystal structure of Ga5Ir with its simulated PXRD pattern. Radiation: Cu Kα, 1.54184 Å. Structure: a cell relaxed with GGA-PBE.
Neutral-atom scattering factors, no anomalous dispersion.

Principal peaks in the range 2θ = 10–90°, in order of rising 2θ:
two_theta  I (rel.)
16.59  28
22.21  88
23.27  52
30.60  63
31.82  25
33.55  48
40.25  81
43.06  100
43.98  75
53.65  38

```
Ga5Ir
1.0
-6.0448 6.0448 2.9781
6.0448 -6.0448 2.9781
6.0448 6.0448 -2.9781
Ga Ir
20 4
Direct
0.0955 0.7764 0.3659 Ga
0.1895 0.1250 0.5645 Ga
0.2195 0.0130 0.0542 Ga
0.2236 0.5895 0.3191 Ga
0.2704 0.9045 0.6809 Ga
0.3395 0.4736 0.8191 Ga
0.3750 0.8105 0.9355 Ga
0.4105 0.7296 0.6341 Ga
0.4796 0.6605 0.1341 Ga
0.5264 0.3455 0.8659 Ga
0.5305 0.0847 0.2935 Ga
0.5605 0.6250 0.4355 Ga
0.6545 0.5204 0.1809 Ga
0.7630 0.4695 0.5542 Ga
0.7913 0.2370 0.7065 Ga
0.8347 0.7805 0.7935 Ga
0.8750 0.4395 0.0645 Ga
0.9153 0.2087 0.4458 Ga
0.9587 0.1653 0.9458 Ga
0.9870 0.0413 0.2065 Ga
0.3750 0.2212 0.3462 Ir
0.7788 0.1250 0.1538 Ir
0.8750 0.0288 0.6538 Ir
0.9712 0.6250 0.8462 Ir
```

***

No. 4
This entry pairs a crystal structure of GaIr10 with its simulated PXRD pattern. Radiation: Cu Kα, 1.54184 Å. Structure: a cell relaxed with GGA-PBE.
Neutral-atom scattering factors, no anomalous dispersion.

Principal peaks in the range 2θ = 10–90°, in order of rising 2θ:
two_theta  I (rel.)
37.80  13
39.99  100
40.72  58
42.27  27
46.52  17
47.16  55
47.86  16
68.38  16
69.42  14
83.77  16

```
GaIr10
1.0
4.3091 -1.9294 0.0000
4.3091 1.9294 0.0000
-0.0029 0.0000 32.2912
Ga Ir
2 20
Direct
0.1456 0.1456 0.2213 Ga
0.8544 0.8544 0.7787 Ga
0.0487 0.0487 0.6744 Ir
0.0512 0.0512 0.4060 Ir
0.1500 0.1500 0.4866 Ir
0.1526 0.1526 0.7545 Ir
0.2497 0.2497 0.5672 Ir
0.2535 0.2535 0.2984 Ir
0.3473 0.3473 0.6480 Ir
0.3530 0.3530 0.3792 Ir
0.4502 0.4502 0.4596 Ir
0.4520 0.4520 0.7283 Ir
0.5480 0.5480 0.2717 Ir
0.5498 0.5498 0.5404 Ir
0.6470 0.6470 0.6208 Ir
0.6527 0.6527 0.3520 Ir
0.7465 0.7465 0.7016 Ir
0.7503 0.7503 0.4328 Ir
0.8474 0.8474 0.2455 Ir
0.8500 0.8500 0.5134 Ir
0.9488 0.9488 0.5940 Ir
0.9513 0.9513 0.3256 Ir
```

***

No. 5
This entry pairs a crystal structure of Ga5Ir3 with its simulated PXRD pattern. Radiation: Cu Kα, 1.54184 Å. Structure: a cell relaxed with GGA-PBE.
Neutral-atom scattering factors, no anomalous dispersion.

Principal peaks in the range 2θ = 10–90°, in order of rising 2θ:
two_theta  I (rel.)
23.97  58
30.42  25
36.40  18
38.08  19
39.10  100
43.60  93
50.33  39
63.34  29
68.76  24
85.01  18

```
Ga5Ir3
1.0
5.8766 0.0000 0.0000
0.0000 5.8766 0.0000
0.0000 0.0000 14.3667
Ga Ir
20 12
Direct
0.1486 0.2709 0.0524 Ga
0.1553 0.8073 0.3476 Ga
0.1685 0.6685 0.7500 Ga
0.1927 0.1553 0.6524 Ga
0.2291 0.3514 0.4476 Ga
0.2709 0.8514 0.9476 Ga
0.3073 0.6553 0.1524 Ga
0.3315 0.1685 0.2500 Ga
0.3447 0.3073 0.8476 Ga
0.3514 0.7709 0.5524 Ga
0.6486 0.2291 0.5524 Ga
0.6553 0.6927 0.8476 Ga
0.6685 0.8315 0.2500 Ga
0.6927 0.3447 0.1524 Ga
0.7291 0.1486 0.9476 Ga
0.7709 0.6486 0.4476 Ga
0.8073 0.8447 0.6524 Ga
0.8315 0.3315 0.7500 Ga
0.8447 0.1927 0.3476 Ga
0.8514 0.7291 0.0524 Ga
0.0000 0.0000 0.1724 Ir
0.0000 0.0000 0.5000 Ir
0.0000 0.0000 0.8276 Ir
0.0000 0.5000 0.2500 Ir
0.0000 0.5000 0.5863 Ir
0.0000 0.5000 0.9137 Ir
0.5000 0.0000 0.0863 Ir
0.5000 0.0000 0.4137 Ir
0.5000 0.0000 0.7500 Ir
0.5000 0.5000 0.0000 Ir
0.5000 0.5000 0.3276 Ir
0.5000 0.5000 0.6724 Ir
```

***

No. 6
This entry pairs a crystal structure of GaIr9 with its simulated PXRD pattern. Radiation: Cu Kα, 1.54184 Å. Structure: a cell relaxed with GGA-PBE.
Neutral-atom scattering factors, no anomalous dispersion.

Principal peaks in the range 2θ = 10–90°, in order of rising 2θ:
two_theta  I (rel.)
40.04  100
41.10  43
46.91  46
47.76  13
67.71  14
68.51  15
69.17  18
82.41  26
82.97  14
83.11  12

```
GaIr9
1.0
2.7395 0.0000 0.0000
0.0000 2.7395 0.0000
0.0000 0.0000 51.4213
Ga Ir
2 18
Direct
0.2500 0.2500 0.1417 Ga
0.7500 0.7500 0.8583 Ga
0.2500 0.2500 0.2178 Ir
0.2500 0.2500 0.2931 Ir
0.2500 0.2500 0.3683 Ir
0.2500 0.2500 0.4436 Ir
0.2500 0.2500 0.5188 Ir
0.2500 0.2500 0.5941 Ir
0.2500 0.2500 0.6692 Ir
0.2500 0.2500 0.7446 Ir
0.2500 0.2500 0.8193 Ir
0.7500 0.7500 0.1807 Ir
0.7500 0.7500 0.2554 Ir
0.7500 0.7500 0.3308 Ir
0.7500 0.7500 0.4059 Ir
0.7500 0.7500 0.4812 Ir
0.7500 0.7500 0.5564 Ir
0.7500 0.7500 0.6317 Ir
0.7500 0.7500 0.7069 Ir
0.7500 0.7500 0.7822 Ir
```

***

No. 7
This entry pairs a crystal structure of LaLuGa4Ir2 with its simulated PXRD pattern. Radiation: Cu Kα, 1.54184 Å. Structure: a cell relaxed with GGA-PBE.
Neutral-atom scattering factors, no anomalous dispersion.

Principal peaks in the range 2θ = 10–90°, in order of rising 2θ:
two_theta  I (rel.)
17.56  24
24.33  45
33.66  100
36.19  59
36.45  60
37.68  62
43.02  47
43.84  34
49.86  20
58.26  18

```
LaLuGa4Ir2
1.0
4.2052 0.0000 0.0000
0.0000 7.3166 0.0000
-2.0629 0.0000 5.0508
La Lu Ga Ir
1 1 4 2
Direct
0.0000 0.0000 0.0000 La
0.8610 0.5000 0.7186 Lu
0.2870 0.2061 0.5669 Ga
0.2870 0.7939 0.5669 Ga
0.5786 0.3098 0.1581 Ga
0.5786 0.6902 0.1581 Ga
0.1419 0.5000 0.2870 Ir
0.7254 0.0000 0.4394 Ir
```

***

No. 8
This entry pairs a crystal structure of LaPrGa4Ir2 with its simulated PXRD pattern. Radiation: Cu Kα, 1.54184 Å. Structure: a cell relaxed with GGA-PBE.
Neutral-atom scattering factors, no anomalous dispersion.

Principal peaks in the range 2θ = 10–90°, in order of rising 2θ:
two_theta  I (rel.)
16.85  51
24.49  59
33.50  70
33.63  62
35.24  83
35.60  84
36.31  100
42.61  68
43.83  29
43.93  29

```
LaPrGa4Ir2
1.0
4.2436 0.0000 0.0000
0.0000 7.2694 0.0000
-2.0617 0.0000 5.2630
La Pr Ga Ir
1 1 4 2
Direct
0.0000 0.0000 0.0000 La
0.8650 0.5000 0.7259 Pr
0.2828 0.1979 0.5570 Ga
0.2828 0.8021 0.5570 Ga
0.5840 0.3055 0.1710 Ga
0.5840 0.6945 0.1710 Ga
0.1419 0.5000 0.2890 Ir
0.7277 0.0000 0.4429 Ir
```

***

No. 9
This entry pairs a crystal structure of LaGaSiIr2 with its simulated PXRD pattern. Radiation: Cu Kα, 1.54184 Å. Structure: a cell relaxed with GGA-PBE.
Neutral-atom scattering factors, no anomalous dispersion.

Principal peaks in the range 2θ = 10–90°, in order of rising 2θ:
two_theta  I (rel.)
17.13  25
33.57  16
34.73  100
42.92  34
46.50  25
56.31  14
62.18  15
62.32  11
73.36  26
88.73  8

```
LaGaSiIr2
1.0
4.2140 0.0000 0.0000
0.0000 4.2140 0.0000
0.0000 0.0000 10.3498
La Ga Si Ir
2 2 2 4
Direct
0.0000 0.0000 0.0000 La
0.5000 0.5000 0.5000 La
0.0000 0.0000 0.3780 Ga
0.5000 0.5000 0.8780 Ga
0.0000 0.0000 0.6330 Si
0.5000 0.5000 0.1330 Si
0.0000 0.5000 0.2427 Ir
0.0000 0.5000 0.7427 Ir
0.5000 0.0000 0.2427 Ir
0.5000 0.0000 0.7427 Ir
```

***

No. 10
This entry pairs a crystal structure of LaZrGa4Ir2 with its simulated PXRD pattern. Radiation: Cu Kα, 1.54184 Å. Structure: a cell relaxed with GGA-PBE.
Neutral-atom scattering factors, no anomalous dispersion.

Principal peaks in the range 2θ = 10–90°, in order of rising 2θ:
two_theta  I (rel.)
17.83  29
25.87  32
26.00  30
34.55  94
36.60  100
38.47  53
41.97  51
43.32  60
45.70  36
58.24  32

```
LaZrGa4Ir2
1.0
4.3053 0.0000 0.0000
0.0000 6.8885 0.0000
-2.1501 0.0000 4.9756
La Zr Ga Ir
1 1 4 2
Direct
0.0000 0.0000 0.0000 La
0.8341 0.5000 0.6668 Zr
0.2869 0.2094 0.5712 Ga
0.2869 0.7906 0.5712 Ga
0.5543 0.3122 0.1084 Ga
0.5543 0.6878 0.1084 Ga
0.1232 0.5000 0.2461 Ir
0.7198 0.0000 0.4360 Ir
```

***

No. 11
This entry pairs a crystal structure of Li3Ga4Ir2 with its simulated PXRD pattern. Radiation: Cu Kα, 1.54184 Å. Structure: a cell relaxed with GGA-PBE.
Neutral-atom scattering factors, no anomalous dispersion.

Principal peaks in the range 2θ = 10–90°, in order of rising 2θ:
two_theta  I (rel.)
10.92  24
21.94  48
26.60  100
41.47  91
42.54  85
48.37  36
50.88  17
51.49  20
60.92  29
77.12  29

```
Li3Ga4Ir2
1.0
4.2500 0.0000 0.0000
-2.1250 3.6806 0.0000
0.0000 0.0000 8.1032
Li Ga Ir
3 4 2
Direct
0.0000 0.0000 0.0000 Li
0.3333 0.6667 0.5576 Li
0.6667 0.3333 0.4424 Li
0.0000 0.0000 0.3282 Ga
0.0000 0.0000 0.6718 Ga
0.3333 0.6667 0.8913 Ga
0.6667 0.3333 0.1087 Ga
0.3333 0.6667 0.2147 Ir
0.6667 0.3333 0.7853 Ir
```

***

No. 12
This entry pairs a crystal structure of LiGa2Ir with its simulated PXRD pattern. Radiation: Cu Kα, 1.54184 Å. Structure: a cell relaxed with GGA-PBE.
Neutral-atom scattering factors, no anomalous dispersion.

Principal peaks in the range 2θ = 10–90°, in order of rising 2θ:
two_theta  I (rel.)
25.37  100
41.95  46
42.06  91
49.67  33
49.86  16
60.83  15
67.15  14
76.72  31
76.94  15
82.26  8

```
LiGa2Ir
1.0
4.3070 0.0000 0.0000
0.0000 4.3070 0.0000
0.0000 0.0000 6.0606
Li Ga Ir
2 4 2
Direct
0.0000 0.0000 0.0000 Li
0.5000 0.5000 0.5000 Li
0.0000 0.5000 0.2500 Ga
0.0000 0.5000 0.7500 Ga
0.5000 0.0000 0.2500 Ga
0.5000 0.0000 0.7500 Ga
0.0000 0.0000 0.5000 Ir
0.5000 0.5000 0.0000 Ir
```